Calculated PXRD pattern
Compound: Li2VNiO4
Radiation: copper Kα
Structure: a GGA+U-relaxed structure
Neutral-atom scattering factors, no anomalous dispersion.

Main lines, by angle (5 to 70 degrees two-theta):
index, Position (°2θ), I (rel.)
1 0 1, 18.36, 100
1 0 -2, 35.58, 15
0 2 -1, 35.74, 14
0 2 2, 35.86, 14
2 0 -1, 43.12, 28
1 -2 2, 43.50, 54
1 2 -3, 62.89, 15
-1 2 4, 63.13, 15

Structure:
Unit cell a=5.1363 b=5.8772 c=7.7871 alpha=79.27 beta=71.01 gamma=89.84
Fractional positions:
1 Li 0.0026 0.2407 0.0029
2 Li 0.3312 0.0768 0.6683
3 Li 0.3354 0.5856 0.6666
4 Li 0.6646 0.4144 0.3334
5 Li 0.6688 0.9232 0.3317
6 Li 0.9974 0.7593 0.9971
7 V 0.1655 0.6762 0.3354
8 V 0.5000 0.5000 0.0000
9 V 0.8345 0.3238 0.6646
10 Ni 0.1659 0.1669 0.3330
11 Ni 0.5000 0.0000 0.0000
12 Ni 0.8341 0.8331 0.6670
13 O 0.0898 0.9479 0.1745
14 O 0.1059 0.4743 0.1717
15 O 0.2264 0.3851 0.5023
16 O 0.2460 0.8608 0.4884
17 O 0.4270 0.7679 0.8450
18 O 0.4392 0.3009 0.8323
19 O 0.5608 0.6991 0.1677
20 O 0.5730 0.2321 0.1550
21 O 0.7540 0.1392 0.5116
22 O 0.7736 0.6149 0.4977
23 O 0.8941 0.5257 0.8283
24 O 0.9102 0.0521 0.8255